Starting from a GGA-PBE-relaxed structure, the X-ray diffraction stick pattern of AlTl3Se3 was simulated for Cu Ka.
Lines closer than 0.1° are merged.

Structure:
Unit cell a=7.4186 b=7.4186 c=8.9265 alpha=98.60 beta=98.60 gamma=113.81
Positions (direct):
Al  0.1539  0.1539  0.1542
Al  0.8461  0.8461  0.8458
Tl  0.1660  0.8340  0.5000
Tl  0.2805  0.7195  0.0000
Tl  0.3848  0.3848  0.6301
Tl  0.6152  0.6152  0.3699
Tl  0.7195  0.2805  0.0000
Tl  0.8340  0.1660  0.5000
Se  0.1361  0.4513  0.2828
Se  0.1547  0.1547  0.8818
Se  0.4513  0.1361  0.2828
Se  0.5487  0.8639  0.7172
Se  0.8453  0.8453  0.1182
Se  0.8639  0.5487  0.7172

Largest 10 diffraction maxima, low angle first, 10° ≤ 2θ ≤ 90°:
| 2theta | intensity |
| --- | --- |
| 25.21 | 21 |
| 27.71 | 100 |
| 30.08 | 56 |
| 31.04 | 38 |
| 31.21 | 14 |
| 33.98 | 27 |
| 35.09 | 29 |
| 44.66 | 31 |
| 47.77 | 15 |
| 49.01 | 14 |

---

Starting from a GGA-PBE-relaxed structure, the X-ray diffraction stick pattern of CaPu2Se3 was simulated for Cu Ka.
Lines closer than 0.1° are merged.

Structure:
Unit cell a=4.1846 b=5.9081 c=12.5349 alpha=90.00 beta=90.00 gamma=90.00
Positions (direct):
Ca  0.0000  0.0000  0.0000
Ca  0.5000  0.5000  0.5000
Pu  0.0000  0.0000  0.3339
Pu  0.0000  0.0000  0.6661
Pu  0.5000  0.5000  0.1661
Pu  0.5000  0.5000  0.8339
Se  0.0000  0.5000  0.0000
Se  0.0000  0.5000  0.3319
Se  0.0000  0.5000  0.6681
Se  0.5000  0.0000  0.1681
Se  0.5000  0.0000  0.5000
Se  0.5000  0.0000  0.8319

Largest 10 diffraction maxima, low angle first, 10° ≤ 2θ ≤ 90°:
| 2theta | intensity |
| --- | --- |
| 14.13 | 12 |
| 16.59 | 18 |
| 26.11 | 24 |
| 30.24 | 100 |
| 43.29 | 75 |
| 51.25 | 13 |
| 53.71 | 27 |
| 62.88 | 13 |
| 71.33 | 23 |
| 79.40 | 22 |

---

Starting from a GGA-PBE-relaxed structure, the X-ray diffraction stick pattern of Cs2CaAsBr6 was simulated for Cu Ka.
Lines closer than 0.1° are merged.

Structure:
Unit cell a=8.0544 b=8.0544 c=8.0544 alpha=118.57 beta=118.57 gamma=92.49
Positions (direct):
Cs  0.2500  0.7500  0.5000
Cs  0.7500  0.2500  0.5000
Ca  0.0000  0.0000  0.0000
As  0.5000  0.5000  0.0000
Br  0.2472  0.2472  0.4944
Br  0.2472  0.7528  0.0000
Br  0.2630  0.2630  0.0000
Br  0.7370  0.7370  0.0000
Br  0.7528  0.2472  0.0000
Br  0.7528  0.7528  0.5056

Largest 10 diffraction maxima, low angle first, 10° ≤ 2θ ≤ 90°:
| 2theta | intensity |
| --- | --- |
| 22.09 | 19 |
| 26.94 | 100 |
| 30.74 | 68 |
| 32.14 | 29 |
| 44.03 | 25 |
| 45.07 | 45 |
| 52.38 | 31 |
| 54.20 | 13 |
| 55.54 | 24 |
| 81.70 | 16 |

---

Starting from a GGA-PBE-relaxed structure, the X-ray diffraction stick pattern of Ce3SbP2Rh9 was simulated for Cu Ka.
Lines closer than 0.1° are merged.

Structure:
Unit cell a=5.7832 b=5.7832 c=10.0134 alpha=90.00 beta=90.00 gamma=120.00
Positions (direct):
Ce  0.0000  0.0000  0.0000
Ce  0.3333  0.6667  0.6690
Ce  0.6667  0.3333  0.3310
Sb  0.0000  0.0000  0.5000
P  0.3333  0.6667  0.1541
P  0.6667  0.3333  0.8459
Rh  0.0000  0.5000  0.0000
Rh  0.1597  0.3193  0.2917
Rh  0.1597  0.8403  0.2917
Rh  0.3193  0.1597  0.7083
Rh  0.5000  0.0000  0.0000
Rh  0.5000  0.5000  0.0000
Rh  0.6807  0.8403  0.2917
Rh  0.8403  0.1597  0.7083
Rh  0.8403  0.6807  0.7083

Largest 10 diffraction maxima, low angle first, 10° ≤ 2θ ≤ 90°:
| 2theta | intensity |
| --- | --- |
| 26.71 | 40 |
| 35.87 | 13 |
| 37.00 | 71 |
| 40.27 | 100 |
| 51.63 | 35 |
| 59.06 | 13 |
| 64.45 | 27 |
| 71.05 | 14 |
| 78.79 | 17 |
| 87.02 | 13 |

---

Starting from a GGA-PBE-relaxed structure, the X-ray diffraction stick pattern of Pm3In2Pd2 was simulated for Cu Ka.
Lines closer than 0.1° are merged.

Structure:
Unit cell a=4.0922 b=22.9441 c=3.8044 alpha=90.00 beta=90.00 gamma=90.00
Positions (direct):
Pm  0.0000  0.0000  0.0000
Pm  0.0000  0.1696  0.0000
Pm  0.0000  0.8304  0.0000
Pm  0.5000  0.3304  0.0000
Pm  0.5000  0.5000  0.0000
Pm  0.5000  0.6696  0.0000
In  0.0000  0.4168  0.5000
In  0.0000  0.5832  0.5000
In  0.5000  0.0832  0.5000
In  0.5000  0.9168  0.5000
Pd  0.0000  0.2901  0.5000
Pd  0.0000  0.7099  0.5000
Pd  0.5000  0.2099  0.5000
Pd  0.5000  0.7901  0.5000

Largest 10 diffraction maxima, low angle first, 10° ≤ 2θ ≤ 90°:
| 2theta | intensity |
| --- | --- |
| 29.24 | 21 |
| 32.37 | 100 |
| 33.22 | 74 |
| 34.25 | 25 |
| 35.08 | 62 |
| 37.77 | 23 |
| 44.27 | 28 |
| 47.82 | 22 |
| 56.45 | 32 |
| 60.67 | 29 |

---

Starting from a GGA-PBE-relaxed structure, the X-ray diffraction stick pattern of LaTbDy2In4 was simulated for Cu Ka.
Lines closer than 0.1° are merged.

Structure:
Unit cell a=9.3641 b=9.3641 c=9.3641 alpha=33.44 beta=33.44 gamma=33.44
Positions (direct):
La  0.0000  0.0000  0.0000
Tb  0.5000  0.5000  0.5000
Dy  0.2497  0.2497  0.2497
Dy  0.7503  0.7503  0.7503
In  0.1269  0.1269  0.1269
In  0.3771  0.3771  0.3771
In  0.6229  0.6229  0.6229
In  0.8731  0.8731  0.8731

Largest 10 diffraction maxima, low angle first, 10° ≤ 2θ ≤ 90°:
| 2theta | intensity |
| --- | --- |
| 23.32 | 2 |
| 33.21 | 100 |
| 47.68 | 18 |
| 59.20 | 9 |
| 59.39 | 28 |
| 69.62 | 6 |
| 69.83 | 6 |
| 79.37 | 8 |
| 79.52 | 8 |
| 88.96 | 3 |

---

Starting from a GGA-PBE-relaxed structure, the X-ray diffraction stick pattern of Ho3ScTl4Se8 was simulated for Cu Ka.
Lines closer than 0.1° are merged.

Structure:
Unit cell a=9.1097 b=9.1097 c=9.1097 alpha=53.81 beta=53.81 gamma=53.81
Positions (direct):
Ho  0.0000  0.5000  0.5000
Ho  0.5000  0.0000  0.5000
Ho  0.5000  0.5000  0.0000
Sc  0.0000  0.0000  0.0000
Tl  0.0000  0.0000  0.5000
Tl  0.0000  0.5000  0.0000
Tl  0.5000  0.0000  0.0000
Tl  0.5000  0.5000  0.5000
Se  0.2283  0.2283  0.7431
Se  0.2283  0.7431  0.2283
Se  0.2569  0.7717  0.7717
Se  0.2651  0.2651  0.2651
Se  0.7349  0.7349  0.7349
Se  0.7431  0.2283  0.2283
Se  0.7717  0.2569  0.7717
Se  0.7717  0.7717  0.2569

Largest 10 diffraction maxima, low angle first, 10° ≤ 2θ ≤ 90°:
| 2theta | intensity |
| --- | --- |
| 22.90 | 11 |
| 26.11 | 18 |
| 29.34 | 100 |
| 39.95 | 37 |
| 43.93 | 35 |
| 53.70 | 18 |
| 60.87 | 11 |
| 66.11 | 13 |
| 71.81 | 15 |
| 78.05 | 10 |

---

Starting from a GGA-PBE-relaxed structure, the X-ray diffraction stick pattern of Bi2Te3Pb was simulated for Cu Ka.
Lines closer than 0.1° are merged.

Structure:
Unit cell a=8.9083 b=8.9083 c=6.6554 alpha=90.00 beta=90.00 gamma=121.61
Positions (direct):
Bi  0.1761  0.1761  0.0000
Bi  0.1761  0.1761  0.5000
Bi  0.8239  0.8239  0.0000
Bi  0.8239  0.8239  0.5000
Te  0.1138  0.4540  0.7500
Te  0.1648  0.8352  0.7500
Te  0.4540  0.1138  0.2500
Te  0.5460  0.8862  0.7500
Te  0.8352  0.1648  0.2500
Te  0.8862  0.5460  0.2500
Pb  0.2873  0.7127  0.2500
Pb  0.7127  0.2873  0.7500

Largest 10 diffraction maxima, low angle first, 10° ≤ 2θ ≤ 90°:
| 2theta | intensity |
| --- | --- |
| 11.66 | 41 |
| 19.94 | 24 |
| 23.45 | 37 |
| 27.06 | 60 |
| 29.19 | 100 |
| 33.74 | 50 |
| 34.60 | 29 |
| 35.50 | 50 |
| 41.75 | 30 |
| 59.32 | 27 |

---

Starting from a GGA-PBE-relaxed structure, the X-ray diffraction stick pattern of Pm4CoTe was simulated for Cu Ka.
Lines closer than 0.1° are merged.

Structure:
Unit cell a=8.5075 b=3.9432 c=19.8815 alpha=90.00 beta=90.00 gamma=90.00
Positions (direct):
Pm  0.0278  0.2500  0.0677
Pm  0.0447  0.7500  0.2193
Pm  0.1326  0.7500  0.6473
Pm  0.1465  0.7500  0.4529
Pm  0.3535  0.2500  0.9529
Pm  0.3674  0.2500  0.1473
Pm  0.4553  0.2500  0.7193
Pm  0.4722  0.7500  0.5677
Pm  0.5278  0.2500  0.4323
Pm  0.5447  0.7500  0.2807
Pm  0.6326  0.7500  0.8527
Pm  0.6465  0.7500  0.0471
Pm  0.8535  0.2500  0.5471
Pm  0.8674  0.2500  0.3527
Pm  0.9553  0.2500  0.7807
Pm  0.9722  0.7500  0.9323
Co  0.2232  0.2500  0.5531
Co  0.2768  0.7500  0.0531
Co  0.7232  0.2500  0.9469
Co  0.7768  0.7500  0.4469
Te  0.2505  0.2500  0.3144
Te  0.2495  0.7500  0.8144
Te  0.7505  0.2500  0.1856
Te  0.7495  0.7500  0.6856

Largest 10 diffraction maxima, low angle first, 10° ≤ 2θ ≤ 90°:
| 2theta | intensity |
| --- | --- |
| 30.79 | 100 |
| 30.92 | 20 |
| 31.92 | 58 |
| 33.26 | 21 |
| 33.82 | 46 |
| 36.48 | 12 |
| 38.49 | 12 |
| 39.40 | 15 |
| 46.03 | 23 |
| 57.07 | 13 |

---

Starting from a GGA-PBE-relaxed structure, the X-ray diffraction stick pattern of BaSr3Yb2Re2O12 was simulated for Cu Ka.
Lines closer than 0.1° are merged.

Structure:
Unit cell a=10.2243 b=10.2243 c=10.2243 alpha=33.59 beta=33.59 gamma=33.59
Positions (direct):
Ba  0.0000  0.0000  0.0000
Sr  0.2483  0.2483  0.2483
Sr  0.4993  0.4993  0.4993
Sr  0.7515  0.7515  0.7515
Yb  0.1250  0.1250  0.1250
Yb  0.6247  0.6247  0.6247
Re  0.3754  0.3754  0.3754
Re  0.8745  0.8745  0.8745
O  0.0261  0.4918  0.4918
O  0.2257  0.7563  0.7563
O  0.2610  0.2610  0.7225
O  0.2610  0.7225  0.2610
O  0.4918  0.0261  0.4918
O  0.4918  0.4918  0.0261
O  0.5253  0.9909  0.9909
O  0.7225  0.2610  0.2610
O  0.7563  0.2257  0.7563
O  0.7563  0.7563  0.2257
O  0.9909  0.5253  0.9909
O  0.9909  0.9909  0.5253

Largest 10 diffraction maxima, low angle first, 10° ≤ 2θ ≤ 90°:
| 2theta | intensity |
| --- | --- |
| 21.27 | 16 |
| 30.26 | 100 |
| 43.33 | 29 |
| 48.75 | 7 |
| 53.76 | 41 |
| 62.94 | 18 |
| 71.42 | 18 |
| 79.46 | 5 |
| 87.33 | 17 |
| 87.42 | 5 |

---

Starting from a GGA-PBE-relaxed structure, the X-ray diffraction stick pattern of NaIn4Ir2 was simulated for Cu Ka.
Lines closer than 0.1° are merged.

Structure:
Unit cell a=4.7567 b=4.7567 c=14.3039 alpha=90.00 beta=90.00 gamma=120.00
Positions (direct):
Na  0.0000  0.0000  0.2500
Na  0.0000  0.0000  0.7500
In  0.0000  0.0000  0.0000
In  0.0000  0.0000  0.5000
In  0.3333  0.6667  0.1266
In  0.3333  0.6667  0.3734
In  0.3333  0.6667  0.7500
In  0.6667  0.3333  0.2500
In  0.6667  0.3333  0.6266
In  0.6667  0.3333  0.8734
Ir  0.3333  0.6667  0.5666
Ir  0.3333  0.6667  0.9334
Ir  0.6667  0.3333  0.0666
Ir  0.6667  0.3333  0.4334

Largest 10 diffraction maxima, low angle first, 10° ≤ 2θ ≤ 90°:
| 2theta | intensity |
| --- | --- |
| 12.38 | 30 |
| 21.57 | 26 |
| 33.18 | 17 |
| 37.82 | 100 |
| 38.31 | 70 |
| 43.90 | 19 |
| 54.93 | 24 |
| 68.31 | 16 |
| 68.63 | 25 |
| 80.81 | 13 |

---

Starting from a GGA-PBE-relaxed structure, the X-ray diffraction stick pattern of Ba5Ac4Tl4 was simulated for Cu Ka.
Lines closer than 0.1° are merged.

Structure:
Unit cell a=10.3439 b=10.3439 c=10.3439 alpha=94.43 beta=94.43 gamma=147.73
Positions (direct):
Ba  0.0000  0.0000  0.0000
Ba  0.3093  0.6229  0.9322
Ba  0.3771  0.3093  0.6864
Ba  0.6229  0.6907  0.3136
Ba  0.6907  0.3771  0.0678
Ac  0.0997  0.4010  0.5008
Ac  0.4010  0.9003  0.3013
Ac  0.5990  0.0997  0.6987
Ac  0.9003  0.5990  0.4992
Tl  0.0862  0.7524  0.8385
Tl  0.2476  0.0862  0.3338
Tl  0.7524  0.9138  0.6662
Tl  0.9138  0.2476  0.1615

Largest 10 diffraction maxima, low angle first, 10° ≤ 2θ ≤ 90°:
| 2theta | intensity |
| --- | --- |
| 24.51 | 9 |
| 27.65 | 100 |
| 30.49 | 14 |
| 31.11 | 26 |
| 32.48 | 17 |
| 35.56 | 11 |
| 45.62 | 18 |
| 49.83 | 10 |
| 53.28 | 20 |
| 58.34 | 14 |

---

Question: Number 4 is which compound?
Answer: Ce3SbP2Rh9

---

Repeat the tenth record exactly.
Starting from a GGA-PBE-relaxed structure, the X-ray diffraction stick pattern of BaSr3Yb2Re2O12 was simulated for Cu Ka.
Lines closer than 0.1° are merged.

Structure:
Unit cell a=10.2243 b=10.2243 c=10.2243 alpha=33.59 beta=33.59 gamma=33.59
Positions (direct):
Ba  0.0000  0.0000  0.0000
Sr  0.2483  0.2483  0.2483
Sr  0.4993  0.4993  0.4993
Sr  0.7515  0.7515  0.7515
Yb  0.1250  0.1250  0.1250
Yb  0.6247  0.6247  0.6247
Re  0.3754  0.3754  0.3754
Re  0.8745  0.8745  0.8745
O  0.0261  0.4918  0.4918
O  0.2257  0.7563  0.7563
O  0.2610  0.2610  0.7225
O  0.2610  0.7225  0.2610
O  0.4918  0.0261  0.4918
O  0.4918  0.4918  0.0261
O  0.5253  0.9909  0.9909
O  0.7225  0.2610  0.2610
O  0.7563  0.2257  0.7563
O  0.7563  0.7563  0.2257
O  0.9909  0.5253  0.9909
O  0.9909  0.9909  0.5253

Largest 10 diffraction maxima, low angle first, 10° ≤ 2θ ≤ 90°:
| 2theta | intensity |
| --- | --- |
| 21.27 | 16 |
| 30.26 | 100 |
| 43.33 | 29 |
| 48.75 | 7 |
| 53.76 | 41 |
| 62.94 | 18 |
| 71.42 | 18 |
| 79.46 | 5 |
| 87.33 | 17 |
| 87.42 | 5 |